For Na2UI6, a PBE-relaxed structure gives the theoretical PXRD pattern in this record (copper Kα).
No peak broadening, texture or thermal motion is included.

Peak list (10 most intense, 10° ≤ 2θ ≤ 90°, in order of rising 2θ)
two_theta  Rel. int.
12.53  12
13.72  26
15.52  20
26.04  100
34.21  42
39.92  34
44.94  22
48.28  16
64.38  13
67.31  13

Structure:
a = 7.8238 Å, b = 7.8238 Å, c = 21.1870 Å
α = 90.00°, β = 90.00°, γ = 120.00°
Space group R-3 (No. 148, hexagonal axes)
Inequivalent atoms, fractional coordinates:
Na1 0.0000 0.0000 0.1716
U1 0.0000 0.0000 0.5000
I1 0.0092 0.3170 0.5844